Calculated X-ray powder pattern of CaWO2 for Cu Kα (λ = 1.5418 Å), from a crystal structure in Alexandria, relaxed with PBE+U.
No peak broadening, texture or thermal motion is included.

Structural model:
abc: 3.158 8.349 8.514
angles: 87.78 79.85 79.49
Space group P1 (No. 1)
Inequivalent atoms, fractional coordinates:
Ca 0.000 0.000 0.000
Ca 0.009 0.250 0.672
Ca 0.281 0.672 0.743
Ca 0.296 0.925 0.411
W 0.285 0.351 0.033
W 0.626 0.297 0.322
W 0.653 0.621 0.094
W 0.989 0.571 0.380
O 0.370 0.134 0.185
O 0.464 0.169 0.856
O 0.504 0.455 0.534
O 0.639 0.803 0.920
O 0.654 0.115 0.496
O 0.801 0.468 0.879
O 0.826 0.754 0.553
O 0.954 0.776 0.220

Top 10 peaks for 10 to 90 degrees two-theta, in order of falling intensity:
2θ (°)	Rel. int.	index
10.78	100.0	0 1 0
10.56	90.0	0 0 1
36.63	40.7	1 2 -1
36.32	25.6	-1 1 1
42.98	22.5	1 -2 2
36.74	19.3	1 2 2
33.97	18.8	0 1 -3
32.04	16.7	0 0 3
34.41	16.4	0 3 1
32.73	13.8	0 3 0